[1]
Pr3Nb3As: simulated powder X-ray diffraction pattern (Cu Ka), based on a cell relaxed with PBE.
Kinematic intensities with the Lorentz-polarization factor, no thermal factor.

The 10 most intense peaks (10° ≤ 2θ ≤ 90°), in order of rising 2θ:
- 26.7°, I 24.7
- 28.7°, I 23.0
- 29.8°, I 41.9
- 31.5°, I 100.0
- 33.2°, I 17.5
- 33.4°, I 15.2
- 37.4°, I 26.8
- 37.7°, I 18.2
- 41.0°, I 14.9
- 45.1°, I 26.1

Structure:
```
data_Pr3Nb3As
_chemical_formula_sum 'Pr6 Nb6 As2'
_cell_length_a 8.118
_cell_length_b 4.019
_cell_length_c 12.131
_cell_angle_alpha 90.00
_cell_angle_beta 99.01
_cell_angle_gamma 90.00
_space_group_name_H-M_alt 'P 1'
_space_group_IT_number 1
loop_
_space_group_symop_operation_xyz
'x,y,z'
loop_
_atom_site_label
_atom_site_fract_x
_atom_site_fract_y
_atom_site_fract_z
Pr1 0.053 0.250 0.135
Pr2 0.141 0.250 0.630
Pr3 0.385 0.750 0.351
Pr4 0.615 0.250 0.649
Pr5 0.859 0.750 0.370
Pr6 0.947 0.750 0.865
Nb1 0.276 0.250 0.904
Nb2 0.366 0.750 0.056
Nb3 0.451 0.750 0.826
Nb4 0.549 0.250 0.174
Nb5 0.634 0.250 0.944
Nb6 0.724 0.750 0.096
As1 0.129 0.250 0.387
As2 0.871 0.750 0.613
```


[2]
NbTlCuTe2Se: simulated powder X-ray diffraction pattern (Cu Ka), based on a cell relaxed with PBE.
Kinematic intensities with the Lorentz-polarization factor, no thermal factor.

The 10 most intense peaks (10° ≤ 2θ ≤ 90°), in order of rising 2θ:
- 28.8°, I 29.7
- 29.0°, I 95.6
- 30.3°, I 100.0
- 34.1°, I 36.2
- 35.4°, I 37.6
- 35.9°, I 51.4
- 39.1°, I 27.6
- 41.5°, I 39.8
- 47.4°, I 29.6
- 54.1°, I 32.8

Structure:
```
data_NbTlCuTe2Se
_chemical_formula_sum 'Nb2 Tl2 Cu2 Te4 Se2'
_cell_length_a 7.982
_cell_length_b 7.982
_cell_length_c 10.146
_cell_angle_alpha 90.00
_cell_angle_beta 90.00
_cell_angle_gamma 152.20
_space_group_name_H-M_alt 'P 1'
_space_group_IT_number 1
loop_
_space_group_symop_operation_xyz
'x,y,z'
loop_
_atom_site_label
_atom_site_fract_x
_atom_site_fract_y
_atom_site_fract_z
Nb1 0.000 0.000 0.000
Nb2 0.000 0.000 0.500
Tl1 0.261 0.739 0.750
Tl2 0.739 0.261 0.250
Cu1 0.469 0.531 0.250
Cu2 0.531 0.469 0.750
Te1 0.367 0.633 0.048
Te2 0.367 0.633 0.452
Te3 0.633 0.367 0.548
Te4 0.633 0.367 0.952
Se1 0.064 0.936 0.250
Se2 0.936 0.064 0.750
```


[3]
LiIr2Pb: simulated powder X-ray diffraction pattern (Cu Ka), based on a cell relaxed with PBE.
Kinematic intensities with the Lorentz-polarization factor, no thermal factor.

The 10 most intense peaks (10° ≤ 2θ ≤ 90°), in order of rising 2θ:
- 24.1°, I 24.0
- 27.9°, I 14.6
- 39.9°, I 100.0
- 47.2°, I 12.3
- 49.4°, I 4.2
- 57.7°, I 17.3
- 63.5°, I 5.1
- 65.3°, I 5.6
- 72.5°, I 35.6
- 86.1°, I 11.7

Structure:
```
data_LiIr2Pb
_chemical_formula_sum 'Li4 Ir8 Pb4'
_cell_length_a 6.389
_cell_length_b 6.389
_cell_length_c 6.389
_cell_angle_alpha 90.00
_cell_angle_beta 90.00
_cell_angle_gamma 90.00
_space_group_name_H-M_alt 'P 1'
_space_group_IT_number 1
loop_
_space_group_symop_operation_xyz
'x,y,z'
loop_
_atom_site_label
_atom_site_fract_x
_atom_site_fract_y
_atom_site_fract_z
Li1 0.000 0.000 0.000
Li2 0.000 0.500 0.500
Li3 0.500 0.000 0.500
Li4 0.500 0.500 0.000
Ir1 0.000 0.000 0.500
Ir2 0.000 0.500 0.000
Ir3 0.250 0.250 0.250
Ir4 0.250 0.750 0.750
Ir5 0.500 0.000 0.000
Ir6 0.500 0.500 0.500
Ir7 0.750 0.250 0.750
Ir8 0.750 0.750 0.250
Pb1 0.250 0.250 0.750
Pb2 0.250 0.750 0.250
Pb3 0.750 0.250 0.250
Pb4 0.750 0.750 0.750
```


[4]
Rb2Ba3Cu2Sb2S10: simulated powder X-ray diffraction pattern (Cu Ka), based on a cell relaxed with PBE.
Kinematic intensities with the Lorentz-polarization factor, no thermal factor.

The 10 most intense peaks (10° ≤ 2θ ≤ 90°), in order of rising 2θ:
- 12.2°, I 23.1
- 22.7°, I 35.0
- 24.0°, I 34.4
- 27.6°, I 100.0
- 30.9°, I 23.2
- 31.5°, I 39.0
- 32.1°, I 34.2
- 32.8°, I 89.4
- 41.4°, I 23.4
- 55.0°, I 21.1

Structure:
```
data_Rb2Ba3Cu2Sb2S10
_chemical_formula_sum 'Rb2 Ba3 Cu2 Sb2 S10'
_cell_length_a 8.873
_cell_length_b 8.873
_cell_length_c 9.355
_cell_angle_alpha 113.11
_cell_angle_beta 113.11
_cell_angle_gamma 49.38
_space_group_name_H-M_alt 'P 1'
_space_group_IT_number 1
loop_
_space_group_symop_operation_xyz
'x,y,z'
loop_
_atom_site_label
_atom_site_fract_x
_atom_site_fract_y
_atom_site_fract_z
Rb1 0.209 0.209 0.432
Rb2 0.791 0.791 0.568
Ba1 0.334 0.334 0.989
Ba2 0.500 0.500 0.500
Ba3 0.666 0.666 0.011
Cu1 0.205 0.795 0.000
Cu2 0.795 0.205 0.000
Sb1 0.068 0.068 0.719
Sb2 0.932 0.932 0.281
S1 0.076 0.584 0.279
S2 0.117 0.117 0.007
S3 0.290 0.582 0.763
S4 0.416 0.924 0.721
S5 0.418 0.710 0.237
S6 0.582 0.290 0.763
S7 0.584 0.076 0.279
S8 0.710 0.418 0.237
S9 0.883 0.883 0.993
S10 0.924 0.416 0.721
```